1.
The following is a simulated powder diffractogram of BaMnCu2Se4. It was derived from a crystal structure in Alexandria, relaxed with PBE, using Cu Kα, 1.54184 Å.

Crystal structure
```
16
Lattice="6.0230 0.0000 0.0000 0.0000 8.0034 0.0000 0.0000 0.0000 8.4095" Properties=species:S:1:pos:R:3 pbc="T T T"
Ba 0.0000 0.0000 0.0000
Ba 3.0115 4.0017 4.2047
Mn 0.0000 0.0000 4.2047
Mn 3.0115 4.0017 0.0000
Cu 0.0000 4.0017 1.2483
Cu 0.0000 4.0017 7.1611
Cu 3.0115 0.0000 2.9564
Cu 3.0115 0.0000 5.4531
Se 1.2277 1.4982 2.8421
Se 1.2277 6.5053 5.5673
Se 1.7839 2.5036 7.0469
Se 1.7839 5.4999 1.3626
Se 4.2392 2.5036 1.3626
Se 4.2392 5.4999 7.0469
Se 4.7954 1.4982 5.5673
Se 4.7954 6.5053 2.8421
```

Top 10 peaks for 2θ = 10–90°, by angle:
h k l, 2θ/deg, d [Å], intensity
1 1 2, 28.18, 3.166, 1000
1 2 1, 28.81, 3.099, 613
0 2 2, 30.85, 2.899, 223
0 1 3, 33.88, 2.646, 303
2 2 0, 37.37, 2.406, 567
1 3 2, 42.86, 2.110, 234
1 1 4, 47.18, 1.927, 282
1 4 1, 49.19, 1.852, 178
3 1 2, 51.73, 1.767, 166
2 3 3, 56.59, 1.626, 256

---

2.
The following is a simulated powder diffractogram of Li2NbOF5. It was derived from a crystal structure in Alexandria, relaxed with PBE, using Cu Kα, 1.54184 Å.

Crystal structure
```
27
Lattice="5.0525 0.0000 0.0000 -2.5263 4.3756 0.0000 0.0000 0.0000 13.9254" Properties=species:S:1:pos:R:3 pbc="T T T"
Li 0.0462 0.0048 0.0000
Li 2.4239 1.5071 4.6501
Li 2.5353 1.3456 9.2919
Li 2.6195 1.5229 0.0083
Li 2.5074 4.3332 9.2836
Li 5.0252 0.0376 4.6418
Nb -0.0395 2.8020 11.6614
Nb -0.0799 3.0088 7.0196
Nb 0.1194 2.9404 2.3778
O -0.7410 1.5587 12.7101
O -0.8059 4.2380 8.0683
O 1.5469 2.9545 3.4265
F -0.8660 1.5374 3.3921
F -0.8034 1.4638 8.0635
F -1.6176 2.8835 5.7413
F -1.5851 2.9035 10.3942
F -1.6150 2.9644 1.0879
F 0.7665 1.4948 5.7297
F -0.8569 4.3394 3.4217
F 0.8043 1.5511 1.1106
F 0.8379 1.5329 10.3831
F -0.7618 4.3569 12.6757
F 0.7808 4.2966 5.7524
F 1.6278 2.8569 8.0339
F 0.7798 4.3347 1.0995
F 0.8485 4.2920 10.3715
F 1.6602 2.9480 12.7053
```

Top 10 peaks for 2θ = 10–90°, by angle:
h k l, 2θ/deg, d [Å], intensity
0 0 3, 19.12, 4.642, 299
1 0 0, 20.30, 4.376, 1000
1 0 3, 28.02, 3.184, 961
2 -1 3, 40.66, 2.219, 555
0 1 6, 44.17, 2.050, 192
2 0 3, 45.85, 1.979, 232
2 -1 6, 53.62, 1.709, 349
2 0 6, 57.93, 1.592, 111
3 -1 3, 59.32, 1.558, 206
3 0 0, 63.81, 1.459, 247

---

3.
The following is a simulated powder diffractogram of NdAlFeC. It was derived from a crystal structure in Alexandria, relaxed with PBE, using Cu Kα, 1.54184 Å.

Crystal structure
```
8
Lattice="3.6151 0.0000 0.0000 0.0000 3.6151 0.0000 0.0000 0.0000 10.2703" Properties=species:S:1:pos:R:3 pbc="T T T"
Nd 0.0000 0.0000 0.0000
Nd 1.8076 1.8076 5.1352
Al 0.0000 0.0000 3.1505
Al 1.8076 1.8076 8.2856
Fe 0.0000 0.0000 7.1084
Fe 1.8076 1.8076 1.9733
C 0.0000 0.0000 5.2467
C 1.8076 1.8076 0.1115
```

Top 10 peaks for 2θ = 10–90°, by angle:
h k l, 2θ/deg, d [Å], intensity
0 0 2, 17.27, 5.135, 306
1 0 1, 26.13, 3.410, 592
0 0 4, 34.95, 2.568, 174
1 1 0, 35.11, 2.556, 710
1 0 3, 36.14, 2.486, 1000
1 1 4, 50.37, 1.812, 240
2 0 0, 50.49, 1.808, 244
2 1 3, 63.65, 1.462, 378
1 1 6, 65.64, 1.422, 156
3 1 0, 84.78, 1.144, 158

---

4.
The following is a simulated powder diffractogram of Li8ZrO6. It was derived from a crystal structure in Alexandria, relaxed with PBE, using Cu Kα, 1.54184 Å.

Crystal structure
```
30
Lattice="5.7432 0.0000 0.0000 -2.8716 4.9737 0.0000 0.0000 0.0000 10.9378" Properties=species:S:1:pos:R:3 pbc="T T T"
Li -0.9123 1.5802 0.0000
Li -1.1946 2.0692 3.9109
Li -1.6770 2.9046 9.3799
Li -1.9593 3.3936 5.4689
Li 1.8246 0.0000 0.0000
Li 0.9123 1.5802 5.4689
Li 0.0000 3.3158 1.4882
Li 0.0000 3.3158 6.9572
Li 2.3892 0.0000 3.9109
Li 1.1946 2.0692 9.3799
Li 3.3539 0.0000 9.3799
Li 1.6770 2.9046 3.9109
Li 2.8716 1.6579 1.4882
Li 2.8716 1.6579 6.9572
Li 3.9186 0.0000 5.4689
Li 1.9593 3.3936 0.0000
Zr 0.0000 0.0000 2.4962
Zr 0.0000 0.0000 7.9651
O 0.0000 0.0000 4.5119
O 0.0000 0.0000 9.9808
O -0.9548 1.6537 1.9729
O -1.9168 3.3200 7.4418
O 1.9095 0.0000 1.9729
O 0.9548 1.6537 7.4418
O 0.0000 3.3158 4.8623
O 0.0000 3.3158 10.3312
O 2.8716 1.6579 4.8623
O 2.8716 1.6579 10.3312
O 3.8337 0.0000 7.4418
O 1.9168 3.3200 1.9729
```

Top 10 peaks for 2θ = 10–90°, by angle:
h k l, 2θ/deg, d [Å], intensity
0 0 2, 16.21, 5.469, 308
1 0 0, 17.83, 4.974, 834
1 0 2, 24.19, 3.680, 1000
1 1 0, 31.15, 2.872, 381
0 0 4, 32.75, 2.734, 197
1 0 4, 37.53, 2.396, 271
2 0 2, 39.82, 2.264, 276
1 1 4, 45.82, 1.980, 194
2 1 2, 51.40, 1.778, 246
3 0 0, 55.42, 1.658, 233